No. 1
This entry pairs a crystal structure of Tb2CuPd4 with its computed powder diffraction line list. Radiation: λ = 1.5418 Å (Cu Kα). Structure: a cell relaxed with GGA-PBE.
Intensities are scaled so that the largest is 100.

Top 6 peaks for 2θ from 10° to 90°, in order of falling intensity:
39.8°, intensity 100, (2 2 -1)
34.7°, intensity 72, (0 2 2)
23.2°, intensity 58, (0 2 0)
26.5°, intensity 53, (0 2 1)
35.5°, intensity 46, (1 1 2)
37.8°, intensity 41, (2 0 1)

Crystal structure
abc: 5.6873 7.6695 7.1963
angles: 90.00 103.90 90.00
Space group C2/m (No. 12)
Asymmetric unit:
Tb (0.0874, 0.0000, 0.2621)
Cu (0.0000, 0.5000, 0.0000)
Pd (0.1243, 0.5000, 0.3558)
Pd (0.2500, 0.2500, 0.0000)



No. 2
This entry pairs a crystal structure of PaFe3 with its computed powder diffraction line list. Radiation: λ = 1.5418 Å (Cu Kα). Structure: a cell relaxed with GGA-PBE.
Intensities are scaled so that the largest is 100.

Top 6 peaks for 2θ from 10° to 90°, in order of falling intensity:
43.7°, intensity 100, (0 2 2)
35.6°, intensity 81, (2 0 2)
33.0°, intensity 80, (1 1 2)
42.8°, intensity 76, (3 1 -3)
37.0°, intensity 74, (3 1 -1)
43.1°, intensity 59, (3 1 1)

Crystal structure
abc: 8.4856 4.7601 8.9007
angles: 90.00 108.98 90.00
Space group C2/m (No. 12)
Asymmetric unit:
Pa (0.0000, 0.0000, 0.0000)
Pa (0.1423, 0.0000, 0.4258)
Fe (0.0000, 0.5000, 0.5000)
Fe (0.0833, 0.5000, 0.2464)
Fe (0.1483, 0.5000, 0.0014)
Fe (0.1696, 0.2503, 0.7603)



No. 3
This entry pairs a crystal structure of TlIn3 with its computed powder diffraction line list. Radiation: λ = 1.5418 Å (Cu Kα). Structure: a cell relaxed with GGA-PBE.
Intensities are scaled so that the largest is 100.

Top 6 peaks for 2θ from 10° to 90°, in order of falling intensity:
35.9°, intensity 100, (2 1 1)
32.7°, intensity 71, (2 1 0)
56.1°, intensity 55, (3 2 1)
29.1°, intensity 43, (2 0 0)
87.1°, intensity 16, (5 2 1)
53.9°, intensity 16, (3 2 0)

Crystal structure
abc: 6.1297 6.1297 6.1297
angles: 90.00 90.00 90.00
Space group Pm-3n (No. 223)
Asymmetric unit:
Tl (0.0000, 0.0000, 0.0000)
In (0.0000, 0.2500, 0.5000)



No. 4
This entry pairs a crystal structure of TbPr2Nd9 with its computed powder diffraction line list. Radiation: λ = 1.5418 Å (Cu Kα). Structure: a cell relaxed with GGA-PBE.
Intensities are scaled so that the largest is 100.

Top 6 peaks for 2θ from 10° to 90°, in order of falling intensity:
29.8°, intensity 100, (1 1 3)
34.5°, intensity 51, (2 0 0)
58.9°, intensity 43, (3 1 3)
49.6°, intensity 36, (2 2 0)
80.6°, intensity 18, (3 3 3)
83.1°, intensity 16, (4 2 0)

Crystal structure
abc: 5.1958 5.1958 15.5947
angles: 90.00 90.00 90.00
Space group P4/mmm (No. 123)
Asymmetric unit:
Tb (0.0000, 0.0000, 0.0000)
Pr (0.0000, 0.0000, 0.3322)
Nd (0.0000, 0.5000, 0.1646)
Nd (0.0000, 0.5000, 0.5000)
Nd (0.5000, 0.5000, 0.0000)
Nd (0.5000, 0.5000, 0.3322)



No. 5
This entry pairs a crystal structure of Li4CO4 with its computed powder diffraction line list. Radiation: λ = 1.5418 Å (Cu Kα). Structure: a cell relaxed with GGA-PBE.
Intensities are scaled so that the largest is 100.

Top 6 peaks for 2θ from 10° to 90°, in order of falling intensity:
21.5°, intensity 100, (0 1 1)
38.8°, intensity 52, (2 0 -2)
16.0°, intensity 26, (0 1 0)
25.0°, intensity 25, (1 1 -1)
23.7°, intensity 25, (1 0 0)
33.1°, intensity 22, (0 1 2)

Crystal structure
abc: 4.6459 5.5280 7.6836
angles: 90.00 125.97 90.00
Space group Pc (No. 7)
Asymmetric unit:
Li (0.0000, 0.0362, 0.0000)
Li (0.1480, 0.4532, 0.0888)
Li (0.5705, 0.1696, 0.5888)
Li (0.7695, 0.4404, 0.2177)
C (0.3603, 0.3032, 0.8718)
O (0.0602, 0.2210, 0.6761)
O (0.2910, 0.4481, 0.3976)
O (0.4274, 0.1720, 0.0506)
O (0.6652, 0.3008, 0.8707)



No. 6
This entry pairs a crystal structure of Ho3In3Ni2 with its computed powder diffraction line list. Radiation: λ = 1.5418 Å (Cu Kα). Structure: a cell relaxed with GGA-PBE.
Intensities are scaled so that the largest is 100.

Top 6 peaks for 2θ from 10° to 90°, in order of falling intensity:
35.8°, intensity 100, (2 4 1)
32.1°, intensity 95, (2 4 0)
38.7°, intensity 69, (3 0 1)
29.3°, intensity 67, (1 4 1)
37.4°, intensity 63, (1 3 2)
34.0°, intensity 60, (1 1 2)

Crystal structure
abc: 7.6360 16.3674 5.7117
angles: 90.00 90.00 90.00
Space group Pnma (No. 62)
Asymmetric unit:
Ho (0.0356, 0.1109, 0.1104)
Ho (0.1619, 0.2500, 0.6577)
In (0.1771, 0.0344, 0.6117)
In (0.1772, 0.7500, 0.6584)
Ni (0.1150, 0.6203, 0.3903)



No. 7
This entry pairs a crystal structure of BaMg2SiIr2 with its computed powder diffraction line list. Radiation: λ = 1.5418 Å (Cu Kα). Structure: a cell relaxed with GGA-PBE.
Intensities are scaled so that the largest is 100.

Top 6 peaks for 2θ from 10° to 90°, in order of falling intensity:
30.7°, intensity 100, (1 1 1)
13.5°, intensity 60, (0 0 1)
39.1°, intensity 40, (2 0 0)
27.2°, intensity 36, (0 0 2)
48.3°, intensity 30, (2 0 2)
50.2°, intensity 28, (1 1 3)

Crystal structure
abc: 4.6026 4.6026 6.5646
angles: 90.00 90.00 90.00
Space group P4/mmm (No. 123)
Asymmetric unit:
Ba (0.0000, 0.0000, 0.0000)
Mg (0.5000, 0.5000, 0.2644)
Si (0.0000, 0.0000, 0.5000)
Ir (0.0000, 0.5000, 0.5000)



No. 8
This entry pairs a crystal structure of CaTl2Hg6 with its computed powder diffraction line list. Radiation: λ = 1.5418 Å (Cu Kα). Structure: a cell relaxed with GGA-PBE.
Intensities are scaled so that the largest is 100.

Top 6 peaks for 2θ from 10° to 90°, in order of falling intensity:
34.4°, intensity 100, (3 0 0)
32.6°, intensity 93, (1 1 1)
64.6°, intensity 33, (3 0 2)
60.5°, intensity 32, (4 1 1)
48.1°, intensity 32, (2 2 1)
43.4°, intensity 23, (3 0 1)

Crystal structure
abc: 9.0257 9.0257 3.4681
angles: 90.00 90.00 120.00
Space group P6/mmm (No. 191)
Asymmetric unit:
Ca (0.0000, 0.0000, 0.0000)
Tl (0.3333, 0.6667, 0.0000)
Hg (0.0000, 0.3327, 0.5000)



No. 9
This entry pairs a crystal structure of SmBi2Te4 with its computed powder diffraction line list. Radiation: λ = 1.5418 Å (Cu Kα). Structure: a cell relaxed with GGA-PBE.
Intensities are scaled so that the largest is 100.

Top 6 peaks for 2θ from 10° to 90°, in order of falling intensity:
27.2°, intensity 100, (1 -1 2)
28.5°, intensity 56, (2 1 -2)
30.5°, intensity 55, (-2 2 1)
27.0°, intensity 52, (2 -1 1)
28.1°, intensity 49, (1 -2 2)
17.3°, intensity 40, (1 1 -1)

Crystal structure
abc: 8.4415 8.4570 8.4697
angles: 112.33 105.09 105.05
Space group P1 (No. 1)
Asymmetric unit:
Sm (0.0000, 0.0000, 0.0000)
Sm (0.4979, 0.8012, 0.1936)
Bi (0.0353, 0.2213, 0.6088)
Bi (0.4164, 0.9352, 0.7949)
Bi (0.5361, 0.4133, 0.4172)
Bi (0.9167, 0.6015, 0.1305)
Te (0.1411, 0.6716, 0.8541)
Te (0.2817, 0.0630, 0.3702)
Te (0.2944, 0.6187, 0.3928)
Te (0.3390, 0.2827, 0.9949)
Te (0.6412, 0.6602, 0.8661)
Te (0.7800, 0.1730, 0.2583)
Te (0.7958, 0.1980, 0.8159)
Te (0.8385, 0.7989, 0.4770)



No. 10
This entry pairs a crystal structure of Sr2CuNiH6 with its computed powder diffraction line list. Radiation: λ = 1.5418 Å (Cu Kα). Structure: a cell relaxed with GGA-PBE.
Intensities are scaled so that the largest is 100.

Top 6 peaks for 2θ from 10° to 90°, in order of falling intensity:
34.0°, intensity 100, (2 0 2)
34.2°, intensity 49, (2 2 0)
61.1°, intensity 35, (4 2 2)
60.8°, intensity 18, (2 2 4)
48.6°, intensity 9, (0 0 4)
49.0°, intensity 9, (0 4 0)

Crystal structure
abc: 7.4129 7.4346 7.4908
angles: 90.00 90.00 90.00
Space group Fmmm (No. 69)
Asymmetric unit:
Sr (0.2500, 0.2500, 0.2500)
Cu (0.0000, 0.0000, 0.0000)
Ni (0.0000, 0.0000, 0.5000)
H (0.0000, 0.0000, 0.2636)
H (0.0000, 0.2382, 0.5000)
H (0.2378, 0.0000, 0.5000)



No. 11
This entry pairs a crystal structure of Er3In2Pt3 with its computed powder diffraction line list. Radiation: λ = 1.5418 Å (Cu Kα). Structure: a cell relaxed with GGA-PBE.
Intensities are scaled so that the largest is 100.

Top 6 peaks for 2θ from 10° to 90°, in order of falling intensity:
36.0°, intensity 100, (1 1 4)
37.2°, intensity 24, (0 2 0)
35.3°, intensity 20, (0 0 8)
63.8°, intensity 17, (2 0 8)
66.3°, intensity 17, (1 3 4)
52.2°, intensity 14, (0 2 8)

Crystal structure
abc: 3.5596 4.8298 20.3681
angles: 90.00 90.00 90.00
Space group Immm (No. 71)
Asymmetric unit:
Er (0.0000, 0.0000, 0.0000)
Er (0.0000, 0.5000, 0.1193)
In (0.0000, 0.0000, 0.2297)
Pt (0.0000, 0.0000, 0.5000)
Pt (0.0000, 0.5000, 0.3866)



No. 12
This entry pairs a crystal structure of Cs2MgCd7 with its computed powder diffraction line list. Radiation: λ = 1.5418 Å (Cu Kα). Structure: a cell relaxed with GGA-PBE.
Intensities are scaled so that the largest is 100.

Top 6 peaks for 2θ from 10° to 90°, in order of falling intensity:
28.7°, intensity 100, (1 1 2)
27.0°, intensity 75, (1 0 3)
36.1°, intensity 70, (2 0 0)
38.4°, intensity 43, (1 0 5)
45.7°, intensity 37, (2 1 3)
37.3°, intensity 34, (1 1 4)

Crystal structure
abc: 4.9716 4.9716 13.2777
angles: 90.00 90.00 90.00
Space group P-4m2 (No. 115)
Asymmetric unit:
Cs (0.0000, 0.5000, 0.2479)
Mg (0.0000, 0.0000, 0.5000)
Cd (0.0000, 0.0000, 0.0000)
Cd (0.0000, 0.5000, 0.6327)
Cd (0.0000, 0.5000, 0.8666)
Cd (0.5000, 0.5000, 0.0000)
Cd (0.5000, 0.5000, 0.5000)